1.
Diffraction record for Mo3WSe6S2. The powder XRD pattern is simulated, not measured: it uses the PBE geometry in the Materials Project and Cu Kα.

Cell and atoms:
```
data_Mo3WSe6S2
_space_group_name_H-M_alt 'P 3 m 1'
_space_group_IT_number 156
_cell_length_a 3.2864
_cell_length_b 3.2864
_cell_length_c 37.3354
_cell_angle_alpha 90.00
_cell_angle_beta 90.00
_cell_angle_gamma 120.00
loop_
_space_group_symop_operation_xyz
'x,y,z'
'-y,x-y,z'
'-x+y,-x,z'
'-y,-x,z'
'-x+y,y,z'
'x,x-y,z'
loop_
_atom_site_label
_atom_site_type_symbol
_atom_site_fract_x
_atom_site_fract_y
_atom_site_fract_z
Mo1 Mo 0.0000 0.0000 0.0000
Mo2 Mo 0.0000 0.0000 0.3757
Mo3 Mo 0.6667 0.3333 0.8121
W1 W 0.6667 0.3333 0.1879
Se1 Se 0.0000 0.0000 0.7669
Se2 Se 0.0000 0.0000 0.8573
Se3 Se 0.6667 0.3333 0.0452
Se4 Se 0.6667 0.3333 0.3306
Se5 Se 0.6667 0.3333 0.4209
Se6 Se 0.6667 0.3333 0.9548
S1 S 0.0000 0.0000 0.1466
S2 S 0.0000 0.0000 0.2291
```

Principal peaks in the range 2θ from 5° to 70°, in order of rising 2θ:
| d/Å | 2theta | Rel. int. |
| --- | --- | --- |
| 12.445 | 7.10 | 23 |
| 7.467 | 11.85 | 100 |
| 6.223 | 14.23 | 21 |
| 2.844 | 31.46 | 43 |
| 2.660 | 33.70 | 14 |
| 2.430 | 37.00 | 70 |
| 2.022 | 44.83 | 46 |
| 1.946 | 46.68 | 16 |
| 1.643 | 55.97 | 25 |
| 1.361 | 68.99 | 11 |

=====

2.
Diffraction record for Ho2MgSe4. The powder XRD pattern is simulated, not measured: it uses the PBE geometry in the Materials Project and Cu Kα.

Cell and atoms:
```
data_Ho2MgSe4
_space_group_name_H-M_alt 'P -1'
_space_group_IT_number 2
_cell_length_a 7.451
_cell_length_b 8.637
_cell_length_c 13.819
_cell_angle_alpha 99.14
_cell_angle_beta 95.40
_cell_angle_gamma 90.01
loop_
_space_group_symop_operation_xyz
'x,y,z'
'-x,-y,-z'
loop_
_atom_site_label
_atom_site_type_symbol
_atom_site_fract_x
_atom_site_fract_y
_atom_site_fract_z
Ho1 Ho 0.131 0.444 0.299
Ho2 Ho 0.132 0.956 0.302
Ho3 Ho 0.259 0.126 0.001
Ho4 Ho 0.364 0.300 0.699
Mg1 Mg 0.251 0.623 0.997
Mg2 Mg 0.367 0.801 0.703
Se1 Se 0.097 0.406 0.102
Se2 Se 0.104 0.897 0.104
Se3 Se 0.194 0.541 0.627
Se4 Se 0.195 0.022 0.626
Se5 Se 0.310 0.719 0.377
Se6 Se 0.327 0.219 0.375
Se7 Se 0.393 0.844 0.892
Se8 Se 0.405 0.354 0.897
```

Principal peaks in the range 2θ from 5° to 70°, in order of rising 2θ:
| d/Å | 2theta | Rel. int. |
| --- | --- | --- |
| 4.527 | 19.61 | 85 |
| 3.717 | 23.94 | 45 |
| 3.671 | 24.24 | 100 |
| 3.510 | 25.37 | 35 |
| 3.011 | 29.67 | 65 |
| 2.632 | 34.07 | 28 |
| 2.404 | 37.41 | 32 |
| 2.159 | 41.84 | 42 |
| 2.153 | 41.97 | 83 |
| 2.019 | 44.90 | 57 |